Starting from the PBE geometry in Alexandria, the powder diffractogram of Na2TlI4 was calculated for Cu Kα (weighted mean of Kα1 and Kα2).

Top 12 peaks for 2θ from 10° to 90°, sorted by position:
2θ (°)	I_rel	h k l
12.24	30	0 0 1
12.70	30	2 0 -1
19.89	24	1 1 0
24.63	52	0 0 2
25.28	100	3 1 -1
26.19	22	3 1 0
32.34	40	3 1 1
33.07	28	5 1 -1
33.47	20	6 0 -2
38.47	26	0 2 0
38.58	48	3 1 -3
46.22	19	0 2 2

```
data_Na2TlI4
_chemical_formula_sum 'Na4 Tl2 I8'
_symmetry_space_group_name_H-M 'C 1 2/m 1'
_symmetry_Int_Tables_number 12
_symmetry_space_group_name_Hall '-C 2y'
_cell_length_a 16.6209
_cell_length_b 4.6798
_cell_length_c 8.0836
_cell_angle_alpha 90.00
_cell_angle_beta 116.58
_cell_angle_gamma 90.00
loop_
_atom_site_label
_atom_site_fract_x
_atom_site_fract_y
_atom_site_fract_z
Na1 0.2278 0.0000 0.1989
Tl1 0.0000 0.5000 0.5000
I1 0.1176 0.5000 0.9376
I2 0.1419 0.0000 0.4919
```